Entry 1:
The following is a calculated powder diffractogram of Sr2Tl6CdPd. It was derived from a structure optimized by DFT (PBE), using Cu Kα.
Peak positions follow from Bragg's law for the DFT cell and can differ from measured ones.

Structure:
Unit cell a=13.552 b=13.552 c=13.552 alpha=32.35 beta=32.35 gamma=32.35
Atoms (fractional coordinates):
Sr 0.130 0.130 0.130
Sr 0.304 0.304 0.304
Sr 0.696 0.696 0.696
Sr 0.870 0.870 0.870
Tl 0.064 0.650 0.650
Tl 0.216 0.216 0.721
Tl 0.216 0.721 0.216
Tl 0.279 0.784 0.784
Tl 0.350 0.350 0.936
Tl 0.350 0.936 0.350
Tl 0.650 0.064 0.650
Tl 0.650 0.650 0.064
Tl 0.721 0.216 0.216
Tl 0.784 0.279 0.784
Tl 0.784 0.784 0.279
Tl 0.936 0.350 0.350
Cd 0.000 0.000 0.000
Cd 0.500 0.500 0.500
Pd 0.428 0.428 0.428
Pd 0.572 0.572 0.572

Principal peaks in the range 10 to 90 degrees two-theta, in order of rising 2θ:
2θ (°)  intensity
17.80  37
27.81  35
29.69  89
31.84  100
36.66  30
48.21  47

=====

Entry 2:
The following is a calculated powder diffractogram of In4I2ClF. It was derived from a structure optimized by DFT (PBE), using Cu Kα.
Peak positions follow from Bragg's law for the DFT cell and can differ from measured ones.

Structure:
Unit cell a=9.247 b=9.247 c=9.247 alpha=121.43 beta=117.78 gamma=90.71
Atoms (fractional coordinates):
In 0.207 0.189 0.017
In 0.262 0.247 0.485
In 0.262 0.776 0.015
In 0.328 0.811 0.517
In 0.672 0.189 0.483
In 0.738 0.224 0.985
In 0.738 0.753 0.515
In 0.793 0.811 0.983
I 0.000 0.000 0.500
I 0.000 0.500 0.000
I 0.000 0.500 0.500
I 0.500 0.500 0.000
Cl 0.500 0.000 0.000
Cl 0.500 0.500 0.500
F 0.000 0.000 0.000
F 0.500 0.000 0.500

Principal peaks in the range 10 to 90 degrees two-theta, in order of rising 2θ:
2θ (°)  intensity
22.77  28
27.15  100
27.45  24
29.54  30
37.66  20
39.00  37

=====

Entry 3:
The following is a calculated powder diffractogram of Cu2PtAu5. It was derived from a structure optimized by DFT (PBE), using Cu Kα.
Peak positions follow from Bragg's law for the DFT cell and can differ from measured ones.

Structure:
Unit cell a=5.679 b=11.331 c=4.069 alpha=90.00 beta=90.00 gamma=90.00
Atoms (fractional coordinates):
Cu 0.244 0.121 0.000
Cu 0.256 0.621 0.000
Cu 0.744 0.379 0.000
Cu 0.756 0.879 0.000
Pt 0.000 0.000 0.500
Pt 0.500 0.500 0.500
Au 0.000 0.500 0.500
Au 0.005 0.248 0.500
Au 0.246 0.876 0.000
Au 0.254 0.376 0.000
Au 0.495 0.748 0.500
Au 0.500 0.000 0.500
Au 0.505 0.252 0.500
Au 0.746 0.624 0.000
Au 0.754 0.124 0.000
Au 0.995 0.752 0.500

Principal peaks in the range 10 to 90 degrees two-theta, in order of rising 2θ:
2θ (°)  intensity
38.70  100
44.53  17
45.21  32
65.33  22
78.10  13
79.02  13